# PrSmSe4
Theoretical XRD peak list, Cu Kα, 1.54184 Å. Input: a crystal structure in OQMD, relaxed with PBE.

Structural model:
abc: 4.1496 4.1496 8.5779
angles: 90.00 90.00 90.00
Space group P4mm (No. 99)
Inequivalent atoms, fractional coordinates:
Pr 0.0000 0.0000 0.0000 x1
Sm 0.5000 0.5000 0.5466 x1
Se 0.0000 0.0000 0.6391 x1
Se 0.0000 0.5000 0.2764 x2
Se 0.5000 0.5000 0.9012 x1

Principal peaks in the range 10 to 90 degrees two-theta, in order of rising 2θ:
2θ (°)	intensity	h k l
23.8	45.3	1 0 1
30.5	35.6	1 1 0
31.3	32.6	0 0 3
32.2	69.8	1 1 1
37.1	100.0	1 1 2
38.2	59.8	1 0 3
43.6	58.0	2 0 0
54.7	26.3	2 0 3
59.4	32.9	2 1 3
75.8	24.6	3 1 2